(1)
Simulated X-ray diffraction stick pattern of U2HSe2 for Cu Kα (λ = 1.5418 Å), from a PBE-relaxed structure.

Atomic structure:
Lattice parameters (Å, degrees): 14.822 14.822 14.822 164.73 164.73 21.66
Positions (direct):
1 U 0.089 0.339 0.750
2 U 0.339 0.089 0.250
3 U 0.661 0.911 0.750
4 U 0.911 0.661 0.250
5 H 0.125 0.875 0.250
6 H 0.875 0.125 0.750
7 Se 0.194 0.444 0.750
8 Se 0.444 0.194 0.250
9 Se 0.556 0.806 0.750
10 Se 0.806 0.556 0.250

Main lines, sorted by position (2θ = 10–80°):
two_theta, intensity
12.2, 63
24.4, 20
27.3, 23
31.3, 41
32.7, 100
35.9, 40
41.1, 20
45.0, 20
46.1, 28
59.8, 19



(2)
Simulated X-ray diffraction stick pattern of Th2ZnFe2Ni5 for Cu Kα (λ = 1.5418 Å), from a PBE-relaxed structure.

Atomic structure:
Lattice parameters (Å, degrees): 8.793 8.793 3.905 90.00 90.00 90.00
Positions (direct):
1 Th 0.182 0.318 0.000
2 Th 0.318 0.818 0.000
3 Th 0.682 0.182 0.000
4 Th 0.818 0.682 0.000
5 Zn 0.000 0.000 0.000
6 Zn 0.500 0.500 0.000
7 Fe 0.114 0.614 0.000
8 Fe 0.386 0.114 0.000
9 Fe 0.614 0.886 0.000
10 Fe 0.886 0.386 0.000
11 Ni 0.000 0.500 0.500
12 Ni 0.062 0.792 0.500
13 Ni 0.208 0.062 0.500
14 Ni 0.292 0.562 0.500
15 Ni 0.438 0.292 0.500
16 Ni 0.500 0.000 0.500
17 Ni 0.562 0.708 0.500
18 Ni 0.708 0.438 0.500
19 Ni 0.792 0.938 0.500
20 Ni 0.938 0.208 0.500

Main lines, sorted by position (2θ = 10–80°):
two_theta, intensity
22.6, 29
22.8, 26
30.6, 34
32.3, 79
37.0, 44
39.8, 100
42.4, 79
43.7, 68
46.5, 39
64.7, 45



(3)
Simulated X-ray diffraction stick pattern of Tb2Sm2HoSc for Cu Kα (λ = 1.5418 Å), from a PBE-relaxed structure.

Atomic structure:
Lattice parameters (Å, degrees): 6.865 5.584 9.658 90.00 90.00 90.00
Positions (direct):
1 Tb 0.250 0.000 0.162
2 Tb 0.250 0.500 0.669
3 Tb 0.750 0.000 0.838
4 Tb 0.750 0.500 0.331
5 Sm 0.000 0.500 0.000
6 Sm 0.250 0.000 0.814
7 Sm 0.500 0.500 0.000
8 Sm 0.750 0.000 0.186
9 Ho 0.250 0.500 0.347
10 Ho 0.750 0.500 0.653
11 Sc 0.000 0.000 0.500
12 Sc 0.500 0.000 0.500

Main lines, sorted by position (2θ = 10–80°):
two_theta, intensity
26.0, 14
32.0, 100
32.1, 58
41.7, 24
45.9, 25
53.4, 7
57.1, 37
63.7, 25
67.1, 10
76.3, 10



(4)
Simulated X-ray diffraction stick pattern of KMn2Cd2 for Cu Kα (λ = 1.5418 Å), from a PBE-relaxed structure.

Atomic structure:
Lattice parameters (Å, degrees): 8.664 8.664 2.946 90.00 90.00 90.00
Positions (direct):
1 K 0.000 0.000 0.000
2 K 0.500 0.500 0.000
3 Mn 0.115 0.385 0.000
4 Mn 0.385 0.885 0.000
5 Mn 0.615 0.115 0.000
6 Mn 0.885 0.615 0.000
7 Cd 0.177 0.677 0.500
8 Cd 0.323 0.177 0.500
9 Cd 0.677 0.823 0.500
10 Cd 0.823 0.323 0.500

Main lines, sorted by position (2θ = 10–80°):
two_theta, intensity
14.5, 23
20.5, 15
23.0, 27
32.7, 50
36.9, 37
38.4, 100
43.0, 29
53.6, 21
54.7, 15
63.1, 20



(5)
Simulated X-ray diffraction stick pattern of UIO5 for Cu Kα (λ = 1.5418 Å), from a PBE-relaxed structure.

Atomic structure:
Lattice parameters (Å, degrees): 5.744 5.877 8.113 70.80 70.47 77.73
Positions (direct):
1 U 0.000 0.000 0.000
2 U 0.000 0.000 0.500
3 I 0.467 0.527 0.253
4 I 0.533 0.473 0.747
5 O 0.074 0.924 0.739
6 O 0.244 0.285 0.381
7 O 0.268 0.217 0.887
8 O 0.296 0.680 0.083
9 O 0.321 0.706 0.419
10 O 0.679 0.294 0.581
11 O 0.704 0.320 0.917
12 O 0.732 0.783 0.113
13 O 0.756 0.715 0.619
14 O 0.926 0.076 0.261

Main lines, sorted by position (2θ = 10–80°):
two_theta, intensity
21.7, 74
24.4, 54
25.1, 100
32.5, 18
32.9, 17
33.3, 32
33.6, 16
34.0, 15
43.4, 25
44.3, 15



(6)
Simulated X-ray diffraction stick pattern of UNiS4 for Cu Kα (λ = 1.5418 Å), from a PBE-relaxed structure.

Atomic structure:
Lattice parameters (Å, degrees): 6.421 6.209 6.326 90.00 108.54 90.00
Positions (direct):
1 U 0.000 0.000 0.000
2 U 0.000 0.500 0.500
3 Ni 0.500 0.000 0.500
4 Ni 0.500 0.500 0.000
5 S 0.227 0.214 0.362
6 S 0.227 0.286 0.862
7 S 0.276 0.741 0.308
8 S 0.276 0.759 0.808
9 S 0.724 0.241 0.192
10 S 0.724 0.259 0.692
11 S 0.773 0.714 0.138
12 S 0.773 0.786 0.638

Main lines, sorted by position (2θ = 10–80°):
two_theta, intensity
14.6, 36
20.6, 30
22.4, 100
28.0, 52
34.7, 22
41.1, 15
41.5, 38
41.9, 27
44.8, 15
45.4, 16



(7)
Simulated X-ray diffraction stick pattern of Tb6Pr2Tm for Cu Kα (λ = 1.5418 Å), from a PBE-relaxed structure.

Atomic structure:
Lattice parameters (Å, degrees): 10.377 10.377 6.167 91.77 91.77 117.66
Positions (direct):
1 Tb 0.005 0.835 0.000
2 Tb 0.083 0.584 0.252
3 Tb 0.165 0.995 0.500
4 Tb 0.334 0.506 0.999
5 Tb 0.416 0.917 0.248
6 Tb 0.494 0.666 0.501
7 Tb 0.506 0.334 0.499
8 Tb 0.584 0.083 0.752
9 Tb 0.666 0.494 0.001
10 Tb 0.835 0.005 0.500
11 Tb 0.917 0.416 0.748
12 Tb 0.995 0.165 0.000
13 Pr 0.169 0.331 0.499
14 Pr 0.331 0.169 0.999
15 Pr 0.669 0.831 0.001
16 Pr 0.831 0.669 0.501
17 Tm 0.249 0.751 0.750
18 Tm 0.751 0.249 0.250

Main lines, sorted by position (2θ = 10–80°):
two_theta, intensity
30.1, 54
30.2, 58
30.7, 49
32.0, 100
35.5, 36
39.2, 25
46.8, 17
54.8, 22
55.2, 21
60.1, 16



(8)
Simulated X-ray diffraction stick pattern of Ba5Cu3 for Cu Kα (λ = 1.5418 Å), from a PBE-relaxed structure.

Atomic structure:
Lattice parameters (Å, degrees): 8.226 8.226 5.040 90.00 90.00 109.75
Positions (direct):
1 Ba 0.000 0.000 0.000
2 Ba 0.000 0.500 0.000
3 Ba 0.300 0.300 0.500
4 Ba 0.500 0.000 0.000
5 Ba 0.700 0.700 0.500
6 Cu 0.162 0.838 0.500
7 Cu 0.500 0.500 0.000
8 Cu 0.838 0.162 0.500

Main lines, sorted by position (2θ = 10–80°):
two_theta, intensity
22.0, 11
26.5, 22
28.3, 14
29.1, 100
35.6, 18
38.0, 9
44.2, 8
44.9, 10
48.4, 12
60.0, 11



(9)
Simulated X-ray diffraction stick pattern of Mo2S3 for Cu Kα (λ = 1.5418 Å), from a PBE-relaxed structure.

Atomic structure:
Lattice parameters (Å, degrees): 6.173 3.201 8.695 90.00 102.76 90.00
Positions (direct):
1 Mo 0.109 0.250 0.128
2 Mo 0.312 0.250 0.509
3 Mo 0.688 0.750 0.491
4 Mo 0.891 0.750 0.872
5 S 0.028 0.750 0.344
6 S 0.272 0.750 0.986
7 S 0.493 0.750 0.697
8 S 0.507 0.250 0.303
9 S 0.728 0.250 0.014
10 S 0.972 0.250 0.656

Main lines, sorted by position (2θ = 10–80°):
two_theta, intensity
16.1, 100
20.9, 30
31.7, 43
35.1, 33
40.1, 45
40.4, 32
40.8, 22
42.8, 67
44.3, 30
52.9, 31



(10)
Simulated X-ray diffraction stick pattern of CeBe17Ru for Cu Kα (λ = 1.5418 Å), from a PBE-relaxed structure.

Atomic structure:
Lattice parameters (Å, degrees): 5.685 5.685 5.685 83.19 83.19 83.19
Positions (direct):
1 Ce 0.000 0.000 0.000
2 Be 0.049 0.352 0.629
3 Be 0.049 0.629 0.352
4 Be 0.211 0.681 0.681
5 Be 0.250 0.250 0.250
6 Be 0.339 0.339 0.848
7 Be 0.339 0.848 0.339
8 Be 0.352 0.049 0.629
9 Be 0.352 0.629 0.049
10 Be 0.442 0.442 0.442
11 Be 0.505 0.993 0.993
12 Be 0.629 0.049 0.352
13 Be 0.629 0.352 0.049
14 Be 0.681 0.211 0.681
15 Be 0.681 0.681 0.211
16 Be 0.848 0.339 0.339
17 Be 0.993 0.505 0.993
18 Be 0.993 0.993 0.505
19 Ru 0.664 0.664 0.664

Main lines, sorted by position (2θ = 10–80°):
two_theta, intensity
15.8, 57
21.2, 39
23.6, 100
24.4, 32
28.5, 19
34.2, 94
41.4, 33
48.2, 26
48.7, 48
70.9, 23



(11)
Simulated X-ray diffraction stick pattern of Bi2PdSF for Cu Kα (λ = 1.5418 Å), from a PBE-relaxed structure.

Atomic structure:
Lattice parameters (Å, degrees): 5.470 5.470 3.832 90.00 90.00 90.00
Positions (direct):
1 Bi 0.000 0.500 0.000
2 Bi 0.500 0.000 0.000
3 Pd 0.000 0.000 0.500
4 S 0.500 0.500 0.000
5 F 0.500 0.500 0.500

Main lines, sorted by position (2θ = 10–80°):
two_theta, intensity
23.0, 28
23.2, 23
32.7, 65
32.9, 100
40.5, 23
47.0, 24
58.6, 39
58.9, 24
69.0, 15
78.2, 19



(12)
Simulated X-ray diffraction stick pattern of ZrUN3 for Cu Kα (λ = 1.5418 Å), from a PBE-relaxed structure.

Atomic structure:
Lattice parameters (Å, degrees): 6.237 6.237 6.237 52.45 52.45 52.45
Positions (direct):
1 Zr 0.146 0.146 0.146
2 Zr 0.854 0.854 0.854
3 U 0.351 0.351 0.351
4 U 0.649 0.649 0.649
5 N 0.045 0.451 0.755
6 N 0.245 0.549 0.955
7 N 0.451 0.755 0.045
8 N 0.549 0.955 0.245
9 N 0.755 0.045 0.451
10 N 0.955 0.245 0.549

Main lines, sorted by position (2θ = 10–80°):
two_theta, intensity
16.5, 28
21.6, 29
29.0, 99
32.5, 100
36.7, 27
44.1, 36
47.3, 54
55.8, 35
58.0, 26
60.7, 26



(13)
Simulated X-ray diffraction stick pattern of KSi4O8 for Cu Kα (λ = 1.5418 Å), from a PBE-relaxed structure.

Atomic structure:
Lattice parameters (Å, degrees): 5.432 5.432 8.167 90.00 90.00 120.00
Positions (direct):
1 K 0.000 0.000 0.000
2 Si 0.333 0.667 0.204
3 Si 0.333 0.667 0.796
4 Si 0.667 0.333 0.204
5 Si 0.667 0.333 0.796
6 O 0.000 0.485 0.734
7 O 0.000 0.515 0.266
8 O 0.333 0.667 0.000
9 O 0.485 0.000 0.734
10 O 0.485 0.485 0.266
11 O 0.515 0.000 0.266
12 O 0.515 0.515 0.734
13 O 0.667 0.333 0.000

Main lines, sorted by position (2θ = 10–80°):
two_theta, intensity
10.8, 100
18.9, 42
21.8, 32
29.0, 61
33.0, 46
34.8, 40
38.2, 13
56.4, 15
66.8, 16
69.2, 13